This entry pairs a crystal structure of Rb2RePbO6 with its calculated powder diffractogram. Radiation: a wavelength of 1.5418 Å. Structure: a structure optimized by DFT (PBE).
Peak positions follow from Bragg's law for the DFT cell and can differ from measured ones.

Most intense lines, 15° ≤ 2θ ≤ 90°, sorted by position:
2θ (°)	intensity	(hkl)
20.70	26	0 1 2
29.43	100	1 1 0
36.25	2	2 0 2
42.11	28	0 2 4
47.36	12	1 2 2
52.21	41	3 0 0
61.07	18	2 2 0
65.21	6	0 3 6
69.22	19	1 3 4
76.96	6	4 0 4
80.73	3	5 -3 2
84.46	23	4 1 0

Structure:
```
data_Rb2RePbO6
_chemical_formula_sum 'Rb6 Re3 Pb3 O18'
_symmetry_space_group_name_H-M 'R -3'
_symmetry_Int_Tables_number 148
_symmetry_space_group_name_Hall '-R 3'
_cell_length_a 6.0699
_cell_length_b 6.0699
_cell_length_c 14.8668
_cell_angle_alpha 90.00
_cell_angle_beta 90.00
_cell_angle_gamma 120.00
loop_
_atom_site_label
_atom_site_type_symbol
_atom_site_fract_x
_atom_site_fract_y
_atom_site_fract_z
Rb1 Rb 0.0000 0.0000 0.2500
Re1 Re 0.0000 0.0000 0.0000
Pb1 Pb 0.0000 0.0000 0.5000
O1 O 0.0376 0.5199 0.7406
```

This entry pairs a crystal structure of RbScCu2Br8 with its calculated powder diffractogram. Radiation: a wavelength of 1.5418 Å. Structure: a structure optimized by DFT (PBE).
Peak positions follow from Bragg's law for the DFT cell and can differ from measured ones.

Most intense lines, 15° ≤ 2θ ≤ 90°, sorted by position:
2θ (°)	intensity	(hkl)
16.61	46	1 1 -1
24.76	35	2 0 2
27.86	79	3 1 0
28.88	87	2 2 0
29.31	100	0 2 2
30.02	60	2 2 -1
30.79	33	2 0 -3
44.82	32	4 2 -2
45.94	49	4 2 2
47.75	36	0 4 0
49.08	30	4 2 -3
53.40	36	2 2 -5

Structure:
```
data_RbScCu2Br8
_chemical_formula_sum 'Rb2 Sc2 Cu4 Br16'
_symmetry_space_group_name_H-M 'C 1 2/m 1'
_symmetry_Int_Tables_number 12
_cell_length_a 10.595
_cell_length_b 7.619
_cell_length_c 10.166
_cell_angle_alpha 90.00
_cell_angle_beta 92.23
_cell_angle_gamma 90.00
loop_
_symmetry_equiv_pos_as_xyz
'x,y,z'
'-x,-y,-z'
'-x,y,-z'
'x,-y,z'
'x+1/2,y+1/2,z'
'-x+1/2,-y+1/2,-z'
'-x+1/2,y+1/2,-z'
'x+1/2,-y+1/2,z'
loop_
_atom_site_label
_atom_site_type_symbol
_atom_site_fract_x
_atom_site_fract_y
_atom_site_fract_z
Rb1 Rb 0.000 0.000 0.000
Sc1 Sc 0.000 0.000 0.500
Cu1 Cu 0.141 0.500 0.287
Br1 Br 0.001 0.238 0.694
Br2 Br 0.173 0.500 0.063
Br3 Br 0.249 0.500 0.497
```

This entry pairs a crystal structure of Zn4GeRh5 with its calculated powder diffractogram. Radiation: a wavelength of 1.5418 Å. Structure: a structure optimized by DFT (PBE).
Peak positions follow from Bragg's law for the DFT cell and can differ from measured ones.

Most intense lines, 15° ≤ 2θ ≤ 90°, sorted by position:
2θ (°)	intensity	(hkl)
29.50	5	0 0 5
42.20	100	1 1 0
52.33	1	1 1 5
61.18	11	2 0 0
61.30	5	0 0 10
69.36	1	2 1 0
69.46	1	1 0 10
77.16	32	2 1 5

Structure:
```
data_Zn4GeRh5
_chemical_formula_sum 'Zn4 Ge1 Rh5'
_symmetry_space_group_name_H-M 'P 4/m m m'
_symmetry_Int_Tables_number 123
_symmetry_space_group_name_Hall '-P 4 2'
_cell_length_a 3.030
_cell_length_b 3.030
_cell_length_c 15.123
_cell_angle_alpha 90.00
_cell_angle_beta 90.00
_cell_angle_gamma 90.00
loop_
_atom_site_label
_atom_site_type_symbol
_atom_site_fract_x
_atom_site_fract_y
_atom_site_fract_z
Zn1 Zn 0.000 0.000 0.099
Zn2 Zn 0.000 0.000 0.295
Ge1 Ge 0.000 0.000 0.500
Rh1 Rh 0.500 0.500 0.000
Rh2 Rh 0.500 0.500 0.199
Rh3 Rh 0.500 0.500 0.404
```

This entry pairs a crystal structure of Hf3Be2Sn2 with its calculated powder diffractogram. Radiation: a wavelength of 1.5418 Å. Structure: a structure optimized by DFT (PBE).
Peak positions follow from Bragg's law for the DFT cell and can differ from measured ones.

Most intense lines, 15° ≤ 2θ ≤ 90°, sorted by position:
2θ (°)	intensity	(hkl)
23.34	19	0 1 1
27.57	25	0 1 3
30.96	27	0 0 6
32.90	35	1 1 0
34.54	100	1 1 2
35.06	69	1 0 5
39.08	35	1 1 4
43.27	39	0 1 7
46.50	25	0 2 0
47.92	23	2 0 0
59.54	30	1 2 5
66.53	22	2 1 7

Structure:
```
data_Hf3Be2Sn2
_chemical_formula_sum 'Hf6 Be4 Sn4'
_symmetry_space_group_name_H-M 'I m m m'
_symmetry_Int_Tables_number 71
_symmetry_space_group_name_Hall '-I 2 2'
_cell_length_a 3.797
_cell_length_b 3.906
_cell_length_c 17.329
_cell_angle_alpha 90.00
_cell_angle_beta 90.00
_cell_angle_gamma 90.00
loop_
_atom_site_label
_atom_site_type_symbol
_atom_site_fract_x
_atom_site_fract_y
_atom_site_fract_z
Hf1 Hf 0.000 0.000 0.000
Hf2 Hf 0.000 0.500 0.193
Be1 Be 0.000 0.000 0.442
Sn1 Sn 0.000 0.500 0.363
```

This entry pairs a crystal structure of Er12Co6Cu with its calculated powder diffractogram. Radiation: a wavelength of 1.5418 Å. Structure: a structure optimized by DFT (PBE).
Peak positions follow from Bragg's law for the DFT cell and can differ from measured ones.

Most intense lines, 15° ≤ 2θ ≤ 90°, sorted by position:
2θ (°)	intensity	(hkl)
26.56	13	2 2 0
29.76	45	3 1 0
32.68	56	2 2 2
35.38	100	3 2 1
37.91	21	4 0 0
48.93	21	5 1 0
56.53	39	5 0 3
58.32	12	6 0 0
60.08	39	5 3 2
70.10	20	5 4 3
87.12	15	8 2 2
88.63	19	7 5 0

Structure:
```
data_Er12Co6Cu
_chemical_formula_sum 'Er24 Co12 Cu2'
_symmetry_space_group_name_H-M 'I m -3'
_symmetry_Int_Tables_number 204
_symmetry_space_group_name_Hall '-I 2 2 3'
_cell_length_a 9.493
_cell_length_b 9.493
_cell_length_c 9.493
_cell_angle_alpha 90.00
_cell_angle_beta 90.00
_cell_angle_gamma 90.00
loop_
_atom_site_label
_atom_site_type_symbol
_atom_site_fract_x
_atom_site_fract_y
_atom_site_fract_z
Er1 Er 0.000 0.194 0.300
Co1 Co 0.000 0.385 0.500
Cu1 Cu 0.000 0.000 0.000
```

This entry pairs a crystal structure of Pr3BeSi3 with its calculated powder diffractogram. Radiation: a wavelength of 1.5418 Å. Structure: a structure optimized by DFT (PBE).
Peak positions follow from Bragg's law for the DFT cell and can differ from measured ones.

Most intense lines, 15° ≤ 2θ ≤ 90°, sorted by position:
2θ (°)	intensity	(hkl)
20.81	21	0 1 1
26.95	42	1 0 3
29.62	18	0 0 6
32.02	100	0 1 5
36.45	17	1 1 4
41.11	15	0 2 0
45.86	11	2 0 0
49.84	16	1 2 3
50.93	26	1 0 9
57.04	16	2 1 5
60.04	15	0 1 11
69.22	11	0 3 5

Structure:
```
data_Pr3BeSi3
_chemical_formula_sum 'Pr6 Be2 Si6'
_symmetry_space_group_name_H-M 'I m m 2'
_symmetry_Int_Tables_number 44
_cell_length_a 3.958
_cell_length_b 4.392
_cell_length_c 18.095
_cell_angle_alpha 90.00
_cell_angle_beta 90.00
_cell_angle_gamma 90.00
loop_
_symmetry_equiv_pos_as_xyz
'x,y,z'
'-x,-y,z'
'-x,y,z'
'x,-y,z'
'x+1/2,y+1/2,z+1/2'
'-x+1/2,-y+1/2,z+1/2'
'-x+1/2,y+1/2,z+1/2'
'x+1/2,-y+1/2,z+1/2'
loop_
_atom_site_label
_atom_site_type_symbol
_atom_site_fract_x
_atom_site_fract_y
_atom_site_fract_z
Pr1 Pr 0.000 0.000 0.000
Pr2 Pr 0.000 0.000 0.367
Pr3 Pr 0.000 0.500 0.683
Be1 Be 0.000 0.500 0.117
Si1 Si 0.000 0.000 0.553
Si2 Si 0.000 0.000 0.821
Si3 Si 0.000 0.500 0.241
```

This entry pairs a crystal structure of TbSmTm2 with its calculated powder diffractogram. Radiation: a wavelength of 1.5418 Å. Structure: a structure optimized by DFT (PBE).
Peak positions follow from Bragg's law for the DFT cell and can differ from measured ones.

Most intense lines, 15° ≤ 2θ ≤ 90°, sorted by position:
2θ (°)	intensity	(hkl)
28.51	24	1 0 1
31.76	24	0 4 0
32.73	100	0 2 2
43.20	16	1 4 1
50.43	7	2 0 0
50.54	13	1 0 3
57.20	21	0 6 2
60.90	23	2 4 0
61.45	11	2 2 2
61.58	5	0 2 4
83.55	9	1 2 5
87.87	8	2 8 0

Structure:
```
data_TbSmTm2
_chemical_formula_sum 'Tb2 Sm2 Tm4'
_symmetry_space_group_name_H-M 'I m m 2'
_symmetry_Int_Tables_number 44
_cell_length_a 3.620
_cell_length_b 11.270
_cell_length_c 6.252
_cell_angle_alpha 90.00
_cell_angle_beta 90.00
_cell_angle_gamma 90.00
loop_
_symmetry_equiv_pos_as_xyz
'x,y,z'
'-x,-y,z'
'-x,y,z'
'x,-y,z'
'x+1/2,y+1/2,z+1/2'
'-x+1/2,-y+1/2,z+1/2'
'-x+1/2,y+1/2,z+1/2'
'x+1/2,-y+1/2,z+1/2'
loop_
_atom_site_label
_atom_site_type_symbol
_atom_site_fract_x
_atom_site_fract_y
_atom_site_fract_z
Tb1 Tb 0.000 0.000 0.000
Sm1 Sm 0.000 0.500 0.002
Tm1 Tm 0.000 0.251 0.668
```

This entry pairs a crystal structure of In3Au7 with its calculated powder diffractogram. Radiation: a wavelength of 1.5418 Å. Structure: a structure optimized by DFT (PBE).
Peak positions follow from Bragg's law for the DFT cell and can differ from measured ones.

Most intense lines, 15° ≤ 2θ ≤ 90°, sorted by position:
2θ (°)	intensity	(hkl)
21.76	11	0 1 2
28.78	10	2 2 0
36.36	17	3 1 2
37.74	100	3 -1 3
37.89	16	2 3 1
38.38	93	4 1 0
39.25	17	0 4 2
43.19	14	1 3 3
54.92	12	2 4 3
65.14	10	1 6 3
68.98	9	7 0 3
70.87	9	6 2 3

Structure:
```
data_In3Au7
_chemical_formula_sum 'In18 Au42'
_symmetry_space_group_name_H-M 'P -3'
_symmetry_Int_Tables_number 147
_cell_length_a 12.4099
_cell_length_b 12.4099
_cell_length_c 8.8318
_cell_angle_alpha 90.00
_cell_angle_beta 90.00
_cell_angle_gamma 120.00
loop_
_symmetry_equiv_pos_as_xyz
'x,y,z'
'-x,-y,-z'
'-y,x-y,z'
'y,-x+y,-z'
'-x+y,-x,z'
'x-y,x,-z'
loop_
_atom_site_label
_atom_site_type_symbol
_atom_site_fract_x
_atom_site_fract_y
_atom_site_fract_z
In1 In 0.0205 0.8333 0.2517
In2 In 0.1411 0.6450 0.4611
In3 In 0.1650 0.4736 0.9613
Au1 Au 0.0000 0.0000 0.0000
Au2 Au 0.0000 0.0000 0.5000
Au3 Au 0.0076 0.7769 0.9270
Au4 Au 0.0346 0.7931 0.5861
Au5 Au 0.0865 0.6447 0.1367
Au6 Au 0.1080 0.4217 0.6251
Au7 Au 0.1119 0.6405 0.7967
Au8 Au 0.1380 0.4422 0.2914
Au9 Au 0.3333 0.6667 0.1687
Au10 Au 0.3333 0.6667 0.6670
```

This entry pairs a crystal structure of La2In11Ni15 with its calculated powder diffractogram. Radiation: a wavelength of 1.5418 Å. Structure: a structure optimized by DFT (PBE).
Peak positions follow from Bragg's law for the DFT cell and can differ from measured ones.

Most intense lines, 15° ≤ 2θ ≤ 90°, sorted by position:
2θ (°)	intensity	(hkl)
30.71	45	2 0 1
32.15	57	0 4 1
34.45	71	2 4 0
36.44	38	2 4 -2
37.89	100	2 2 -3
40.70	37	3 1 1
40.81	44	5 1 -1
42.53	73	1 3 2
42.69	53	5 3 -2
43.36	33	0 6 0
45.73	35	4 4 -3
46.99	46	5 1 -4

Structure:
```
data_La2In11Ni15
_chemical_formula_sum 'La4 In22 Ni30'
_symmetry_space_group_name_H-M 'C 1 m 1'
_symmetry_Int_Tables_number 8
_cell_length_a 12.300
_cell_length_b 12.522
_cell_length_c 8.005
_cell_angle_alpha 90.00
_cell_angle_beta 130.34
_cell_angle_gamma 90.00
loop_
_symmetry_equiv_pos_as_xyz
'x,y,z'
'x,-y,z'
'x+1/2,y+1/2,z'
'x+1/2,-y+1/2,z'
loop_
_atom_site_label
_atom_site_type_symbol
_atom_site_fract_x
_atom_site_fract_y
_atom_site_fract_z
La1 La 0.000 0.247 0.000
In1 In 0.037 0.500 0.862
In2 In 0.186 0.141 0.856
In3 In 0.187 0.360 0.516
In4 In 0.292 0.134 0.461
In5 In 0.311 0.368 0.128
In6 In 0.447 0.000 0.122
In7 In 0.455 0.500 0.798
Ni1 Ni 0.041 0.000 0.224
Ni2 Ni 0.077 0.329 0.706
Ni3 Ni 0.080 0.169 0.453
Ni4 Ni 0.232 0.000 0.152
Ni5 Ni 0.234 0.500 0.311
Ni6 Ni 0.247 0.000 0.666
Ni7 Ni 0.252 0.500 0.825
Ni8 Ni 0.405 0.328 0.530
Ni9 Ni 0.406 0.174 0.278
Ni10 Ni 0.492 0.000 0.490
Ni11 Ni 0.492 0.500 0.489
```

This entry pairs a crystal structure of LiNpU2N5 with its calculated powder diffractogram. Radiation: a wavelength of 1.5418 Å. Structure: a structure optimized by DFT (PBE).
Peak positions follow from Bragg's law for the DFT cell and can differ from measured ones.

Most intense lines, 15° ≤ 2θ ≤ 90°, sorted by position:
2θ (°)	intensity	(hkl)
19.38	70	1 1 0
28.93	53	0 0 2
30.87	35	2 1 0
31.19	100	2 0 1
34.19	71	2 1 1
35.06	26	1 1 2
42.82	48	2 1 2
46.72	56	3 1 1
52.71	24	2 0 3
54.72	20	2 1 3
60.84	19	4 1 1
64.16	22	3 1 3

Structure:
```
data_LiNpU2N5
_chemical_formula_sum 'Li2 Np2 U4 N10'
_symmetry_space_group_name_H-M 'P 4/m b m'
_symmetry_Int_Tables_number 127
_symmetry_space_group_name_Hall '-P 4 2ab'
_cell_length_a 6.478
_cell_length_b 6.478
_cell_length_c 6.172
_cell_angle_alpha 90.00
_cell_angle_beta 90.00
_cell_angle_gamma 90.00
loop_
_atom_site_label
_atom_site_type_symbol
_atom_site_fract_x
_atom_site_fract_y
_atom_site_fract_z
Li1 Li 0.000 0.000 0.000
Np1 Np 0.000 0.500 0.000
U1 U 0.175 0.325 0.500
N1 N 0.000 0.000 0.500
N2 N 0.151 0.651 0.256
```

This entry pairs a crystal structure of HoScCdOs with its calculated powder diffractogram. Radiation: a wavelength of 1.5418 Å. Structure: a structure optimized by DFT (PBE).
Peak positions follow from Bragg's law for the DFT cell and can differ from measured ones.

Most intense lines, 15° ≤ 2θ ≤ 90°, sorted by position:
2θ (°)	intensity	(hkl)
29.17	16	1 0 1
35.91	100	1 0 2
37.94	46	1 1 0
39.87	7	1 1 1
45.22	12	1 0 3
48.51	7	0 0 4
54.74	16	2 0 0
56.19	6	1 0 4
63.20	17	1 1 4
67.22	33	2 1 2
76.13	8	2 0 4
82.28	7	1 0 6

Structure:
```
data_HoScCdOs
_chemical_formula_sum 'Ho1 Sc1 Cd1 Os1'
_symmetry_space_group_name_H-M 'P 4 m m'
_symmetry_Int_Tables_number 99
_cell_length_a 3.354
_cell_length_b 3.354
_cell_length_c 7.506
_cell_angle_alpha 90.00
_cell_angle_beta 90.00
_cell_angle_gamma 90.00
loop_
_symmetry_equiv_pos_as_xyz
'x,y,z'
'-y,x,z'
'-x,-y,z'
'y,-x,z'
'-x,y,z'
'y,x,z'
'x,-y,z'
'-y,-x,z'
loop_
_atom_site_label
_atom_site_type_symbol
_atom_site_fract_x
_atom_site_fract_y
_atom_site_fract_z
Ho1 Ho 0.000 0.000 0.000
Sc1 Sc 0.000 0.000 0.576
Cd1 Cd 0.500 0.500 0.309
Os1 Os 0.500 0.500 0.771
```